[1]
Structure and computed powder diffraction line list of Li7MnO4F2 (a GGA+U-relaxed structure; Cu Kα X-rays).
No peak broadening, texture or thermal motion is included.

Most intense lines, 2θ from 10° to 90°, in order of rising 2θ:
2θ 18.83, I = 54.2, (0 1 1)
2θ 19.21, I = 51.2, (1 1 0)
2θ 19.52, I = 53.8, (1 0 1)
2θ 21.53, I = 47.3, (0 1 -1)
2θ 21.65, I = 42.4, (1 0 -1)
2θ 22.41, I = 41.9, (1 1 2)
2θ 36.19, I = 100.0, (1 2 -1)
2θ 38.05, I = 41.4, (2 1 3)

Cell and atoms:
```
data_Li7MnO4F2
_symmetry_space_group_name_H-M 'P 1'
_symmetry_Int_Tables_number 1
_cell_length_a 5.5144
_cell_length_b 5.6768
_cell_length_c 10.2537
_cell_angle_alpha 75.40
_cell_angle_beta 76.65
_cell_angle_gamma 61.23
loop_
_symmetry_equiv_pos_as_xyz
'x,y,z'
loop_
_atom_site_label
_atom_site_type_symbol
_atom_site_fract_x
_atom_site_fract_y
_atom_site_fract_z
Li1 Li 0.0000 0.0000 0.0000
Li2 Li 0.0118 0.2638 0.5156
Li3 Li 0.0366 0.6694 0.8629
Li4 Li 0.0717 0.4671 0.6758
Li5 Li 0.1884 0.5837 0.1752
Li6 Li 0.2655 0.2861 0.0190
Li7 Li 0.3006 0.8777 0.6773
Li8 Li 0.3981 0.2606 0.3689
Li9 Li 0.4268 0.5515 0.5272
Li10 Li 0.5705 0.6977 0.0186
Li11 Li 0.6044 0.9359 0.1923
Li12 Li 0.6636 0.1334 0.6816
Li13 Li 0.7331 0.8341 0.4923
Li14 Li 0.8617 0.3083 0.1672
Mn1 Mn 0.1541 0.9107 0.3412
Mn2 Mn 0.6390 0.4233 0.8424
O1 O 0.1180 0.5815 0.4581
O2 O 0.2185 0.2160 0.2233
O3 O 0.3076 0.6293 0.9691
O4 O 0.3573 0.9253 0.4713
O5 O 0.3726 0.4851 0.7262
O6 O 0.8970 0.3944 0.9586
O7 O 0.9217 0.9424 0.2174
O8 O 0.9483 0.1863 0.7239
F1 F 0.5328 0.6124 0.2120
F2 F 0.6458 0.9939 0.9874
F3 F 0.6947 0.7907 0.6984
F4 F 0.7113 0.2054 0.4801
```

***

[2]
Structure and computed powder diffraction line list of Li2Mn2OF6 (a GGA+U-relaxed structure; Cu Kα X-rays).
No peak broadening, texture or thermal motion is included.

Most intense lines, 2θ from 10° to 90°, in order of rising 2θ:
2θ 14.48, I = 100.0, (0 1 0)
2θ 15.27, I = 75.9, (0 1 1)
2θ 21.64, I = 76.1, (0 0 2)
2θ 21.97, I = 50.6, (1 1 0)
2θ 24.25, I = 36.6, (1 0 2)
2θ 39.57, I = 48.4, (-2 1 1)
2θ 43.57, I = 46.2, (1 0 4)
2θ 44.60, I = 45.0, (1 3 1)

Cell and atoms:
```
data_Li2Mn2OF6
_symmetry_space_group_name_H-M 'P -1'
_symmetry_Int_Tables_number 2
_cell_length_a 5.4828
_cell_length_b 6.4314
_cell_length_c 8.8551
_cell_angle_alpha 72.08
_cell_angle_beta 76.28
_cell_angle_gamma 85.06
loop_
_symmetry_equiv_pos_as_xyz
'x,y,z'
'-x,-y,-z'
loop_
_atom_site_label
_atom_site_type_symbol
_atom_site_fract_x
_atom_site_fract_y
_atom_site_fract_z
Li1 Li 0.0493 0.2419 0.3600
Li2 Li 0.4144 0.6049 0.7299
Mn1 Mn 0.1694 0.0003 0.8229
Mn2 Mn 0.2891 0.7966 0.3034
O1 O 0.0362 0.1025 0.6388
F1 F 0.0953 0.7106 0.8446
F2 F 0.2071 0.9165 0.0512
F3 F 0.2393 0.5041 0.2965
F4 F 0.2988 0.7047 0.5392
F5 F 0.3516 0.2739 0.7793
F6 F 0.4350 0.0895 0.2613
```

***

[3]
Structure and computed powder diffraction line list of LiMn2O3F (a GGA+U-relaxed structure; Cu Kα X-rays).
No peak broadening, texture or thermal motion is included.

Most intense lines, 2θ from 10° to 90°, in order of rising 2θ:
2θ 12.77, I = 73.6, (0 1 1)
2θ 17.85, I = 78.8, (1 0 1)
2θ 24.75, I = 23.0, (0 3 1)
2θ 32.01, I = 24.3, (2 1 1)
2θ 34.80, I = 20.8, (1 0 3)
2θ 35.16, I = 20.8, (1 4 1)
2θ 42.40, I = 100.0, (2 4 0)
2θ 61.51, I = 38.6, (2 4 4)

Cell and atoms:
```
data_LiMn2O3F
_symmetry_space_group_name_H-M 'I m m 2'
_symmetry_Int_Tables_number 44
_cell_length_a 6.1115
_cell_length_b 11.9012
_cell_length_c 8.5302
_cell_angle_alpha 90.00
_cell_angle_beta 90.00
_cell_angle_gamma 90.00
loop_
_symmetry_equiv_pos_as_xyz
'x,y,z'
'-x,-y,z'
'-x,y,z'
'x,-y,z'
'x+1/2,y+1/2,z+1/2'
'-x+1/2,-y+1/2,z+1/2'
'-x+1/2,y+1/2,z+1/2'
'x+1/2,-y+1/2,z+1/2'
loop_
_atom_site_label
_atom_site_type_symbol
_atom_site_fract_x
_atom_site_fract_y
_atom_site_fract_z
Li1 Li 0.0000 0.1227 0.0000
Li2 Li 0.0000 0.3711 0.7867
Mn1 Mn 0.0000 0.0000 0.3855
Mn2 Mn 0.0000 0.2499 0.4059
Mn3 Mn 0.0000 0.5000 0.4128
Mn4 Mn 0.2431 0.1243 0.6497
O1 O 0.0000 0.0000 0.6565
O2 O 0.0000 0.2337 0.6571
O3 O 0.0000 0.5000 0.1455
O4 O 0.2124 0.3731 0.3780
O5 O 0.2142 0.1251 0.4198
F1 F 0.0000 0.0000 0.1381
F2 F 0.0000 0.2501 0.1369
F3 F 0.0000 0.5000 0.6562
```

***

[4]
Structure and computed powder diffraction line list of LiMnOF2 (a GGA+U-relaxed structure; Cu Kα X-rays).
No peak broadening, texture or thermal motion is included.

Most intense lines, 2θ from 10° to 90°, in order of rising 2θ:
2θ 13.53, I = 46.5, (1 1 0)
2θ 18.49, I = 100.0, (2 0 0)
2θ 29.65, I = 19.6, (3 1 0)
2θ 35.16, I = 32.7, (1 3 -1)
2θ 41.56, I = 32.9, (2 0 2)
2θ 43.24, I = 59.1, (3 3 -1)
2θ 60.79, I = 21.4, (1 3 -3)
2θ 62.26, I = 27.5, (0 6 0)

Cell and atoms:
```
data_LiMnOF2
_symmetry_space_group_name_H-M 'C 1 2/c 1'
_symmetry_Int_Tables_number 15
_cell_length_a 9.7099
_cell_length_b 8.9457
_cell_length_c 5.3209
_cell_angle_alpha 90.00
_cell_angle_beta 98.65
_cell_angle_gamma 90.00
loop_
_symmetry_equiv_pos_as_xyz
'x,y,z'
'-x,-y,-z'
'-x,y,-z+1/2'
'x,-y,z+1/2'
'x+1/2,y+1/2,z'
'-x+1/2,-y+1/2,-z'
'-x+1/2,y+1/2,-z+1/2'
'x+1/2,-y+1/2,z+1/2'
loop_
_atom_site_label
_atom_site_type_symbol
_atom_site_fract_x
_atom_site_fract_y
_atom_site_fract_z
Li1 Li 0.1933 0.0864 0.3298
Mn1 Mn 0.0000 0.2431 0.7500
Mn2 Mn 0.0000 0.4110 0.2500
O1 O 0.0975 0.4033 0.5985
F1 F 0.1212 0.2472 0.1272
F2 F 0.1215 0.0893 0.6436
```

***

[5]
Structure and computed powder diffraction line list of Li2Mn2OF6 (a GGA+U-relaxed structure; Cu Kα X-rays).
No peak broadening, texture or thermal motion is included.

Most intense lines, 2θ from 10° to 90°, in order of rising 2θ:
2θ 13.72, I = 100.0, (0 1 0)
2θ 14.59, I = 96.7, (0 1 1)
2θ 21.85, I = 32.0, (1 1 0)
2θ 22.49, I = 34.7, (0 1 2)
2θ 23.12, I = 40.1, (0 0 2)
2θ 26.03, I = 47.1, (1 0 2)
2θ 40.01, I = 46.7, (-2 1 1)
2θ 42.07, I = 43.2, (1 3 1)

Cell and atoms:
```
data_Li2Mn2OF6
_symmetry_space_group_name_H-M 'P 1'
_symmetry_Int_Tables_number 1
_cell_length_a 5.3052
_cell_length_b 6.8936
_cell_length_c 8.3787
_cell_angle_alpha 69.41
_cell_angle_beta 77.78
_cell_angle_gamma 85.06
loop_
_symmetry_equiv_pos_as_xyz
'x,y,z'
loop_
_atom_site_label
_atom_site_type_symbol
_atom_site_fract_x
_atom_site_fract_y
_atom_site_fract_z
Li1 Li 0.0000 0.0000 0.0000
Li2 Li 0.1878 0.7318 0.6556
Li3 Li 0.4506 0.7585 0.1835
Li4 Li 0.6470 0.5060 0.8082
Mn1 Mn 0.0415 0.4624 0.1107
Mn2 Mn 0.1460 0.2649 0.5775
Mn3 Mn 0.4998 0.2278 0.2427
Mn4 Mn 0.5951 0.0365 0.7364
O1 O 0.1604 0.3225 0.3226
O2 O 0.2636 0.1383 0.7885
F1 F 0.1432 0.7337 0.1061
F2 F 0.2501 0.5360 0.5375
F3 F 0.3882 0.3670 0.0034
F4 F 0.3888 0.9597 0.2915
F5 F 0.4909 0.7621 0.7274
F6 F 0.5456 0.1484 0.4941
F7 F 0.6494 0.4949 0.2128
F8 F 0.6689 0.9331 0.9708
F9 F 0.7723 0.3226 0.6893
F10 F 0.8556 0.1795 0.1408
F11 F 0.9516 0.5687 0.8867
F12 F 0.9703 0.9898 0.6344
```

***

[6]
Structure and computed powder diffraction line list of Li3MnO2F2 (a GGA+U-relaxed structure; Cu Kα X-rays).
No peak broadening, texture or thermal motion is included.

Most intense lines, 2θ from 10° to 90°, in order of rising 2θ:
2θ 18.25, I = 100.0, (0 1 1)
2θ 19.99, I = 29.6, (0 0 2)
2θ 30.78, I = 15.9, (0 2 0)
2θ 33.98, I = 28.4, (0 1 3)
2θ 36.53, I = 22.0, (1 1 1)
2θ 40.63, I = 41.8, (0 0 4)
2θ 44.52, I = 61.8, (1 2 0)
2θ 61.84, I = 38.1, (1 2 4)

Cell and atoms:
```
data_Li3MnO2F2
_symmetry_space_group_name_H-M 'A m m 2'
_symmetry_Int_Tables_number 38
_cell_length_a 2.8520
_cell_length_b 5.8089
_cell_length_c 8.8828
_cell_angle_alpha 90.00
_cell_angle_beta 90.00
_cell_angle_gamma 90.00
loop_
_symmetry_equiv_pos_as_xyz
'x,y,z'
'-x,-y,z'
'-x,y,z'
'x,-y,z'
'x,y+1/2,z+1/2'
'-x,-y+1/2,z+1/2'
'-x,y+1/2,z+1/2'
'x,-y+1/2,z+1/2'
loop_
_atom_site_label
_atom_site_type_symbol
_atom_site_fract_x
_atom_site_fract_y
_atom_site_fract_z
Li1 Li 0.0000 0.0000 0.0000
Li2 Li 0.5000 0.2498 0.2499
Mn1 Mn 0.0000 0.0000 0.5004
O1 O 0.5000 0.2271 0.5006
F1 F 0.0000 0.0000 0.2404
F2 F 0.0000 0.0000 0.7607
```

***

[7]
Structure and computed powder diffraction line list of Li3MnO2F (a GGA+U-relaxed structure; Cu Kα X-rays).
No peak broadening, texture or thermal motion is included.

Most intense lines, 2θ from 10° to 90°, in order of rising 2θ:
2θ 16.74, I = 93.6, (1 0 0)
2θ 18.09, I = 100.0, (0 1 0)
2θ 23.68, I = 72.2, (1 1 1)
2θ 24.10, I = 77.1, (1 0 -1)
2θ 25.72, I = 71.5, (1 -1 0)
2θ 26.18, I = 52.7, (-1 1 1)
2θ 30.50, I = 69.1, (0 1 2)
2θ 45.10, I = 46.5, (2 2 1)

Cell and atoms:
```
data_Li3MnO2F
_symmetry_space_group_name_H-M 'P -1'
_symmetry_Int_Tables_number 2
_cell_length_a 5.3261
_cell_length_b 5.5174
_cell_length_c 5.9026
_cell_angle_alpha 63.11
_cell_angle_beta 86.24
_cell_angle_gamma 84.21
loop_
_symmetry_equiv_pos_as_xyz
'x,y,z'
'-x,-y,-z'
loop_
_atom_site_label
_atom_site_type_symbol
_atom_site_fract_x
_atom_site_fract_y
_atom_site_fract_z
Li1 Li 0.0808 0.2699 0.0421
Li2 Li 0.1501 0.6851 0.5088
Li3 Li 0.3991 0.5335 0.1910
Mn1 Mn 0.3771 0.9767 0.7935
O1 O 0.2565 0.6187 0.8445
O2 O 0.2766 0.9159 0.1682
F1 F 0.2115 0.3269 0.4879
```

***

[8]
Structure and computed powder diffraction line list of Li5MnO3F (a GGA+U-relaxed structure; Cu Kα X-rays).
No peak broadening, texture or thermal motion is included.

Most intense lines, 2θ from 10° to 90°, in order of rising 2θ:
2θ 18.82, I = 100.0, (0 1 1)
2θ 22.57, I = 89.9, (2 1 0)
2θ 23.36, I = 54.4, (2 0 1)
2θ 33.93, I = 72.9, (2 0 2)
2θ 34.72, I = 40.7, (2 2 1)
2θ 36.32, I = 52.0, (2 1 2)
2θ 43.01, I = 30.4, (2 3 0)
2θ 54.84, I = 63.2, (4 2 2)

Cell and atoms:
```
data_Li5MnO3F
_symmetry_space_group_name_H-M 'P n m a'
_symmetry_Int_Tables_number 62
_cell_length_a 9.5102
_cell_length_b 7.0346
_cell_length_c 6.3548
_cell_angle_alpha 90.00
_cell_angle_beta 90.00
_cell_angle_gamma 90.00
loop_
_symmetry_equiv_pos_as_xyz
'x,y,z'
'-x,-y,-z'
'-x+1/2,-y,z+1/2'
'x+1/2,y,-z+1/2'
'x+1/2,-y+1/2,-z+1/2'
'-x+1/2,y+1/2,z+1/2'
'-x,y+1/2,-z'
'x,-y+1/2,z'
loop_
_atom_site_label
_atom_site_type_symbol
_atom_site_fract_x
_atom_site_fract_y
_atom_site_fract_z
Li1 Li 0.1067 0.2500 0.2439
Li2 Li 0.1171 0.5747 0.5006
Li3 Li 0.1240 0.5404 0.0067
Mn1 Mn 0.0972 0.2500 0.7563
O1 O 0.0011 0.0047 0.2545
O2 O 0.2289 0.2500 0.0014
F1 F 0.2418 0.2500 0.4905
```

***

Q: Number 8 is which compound?
A: Li5MnO3F